Diffraction record for Pr2NdSn3IrPd2. The PXRD pattern is calculated, not measured: it uses a structure optimized by DFT (GGA-PBE) and CuKα.
Kinematic intensities with the Lorentz-polarization factor, no thermal factor.

Top 10 peaks for 10° ≤ 2θ ≤ 80°, low angle first:
| d/Å | intensity |
| --- | --- |
| 2.811 | 77 |
| 2.587 | 100 |
| 2.501 | 39 |
| 2.206 | 34 |
| 2.142 | 37 |
| 2.076 | 28 |
| 1.679 | 13 |
| 1.597 | 20 |
| 1.512 | 21 |
| 1.426 | 33 |

Structural model:
Lattice parameters (Å, degrees): 4.1517 13.2438 7.6348 90.00 90.00 90.00
Space group Amm2 (No. 38)
Asymmetric unit:
Pr 0.0000 0.2046 0.0000 x4
Nd 0.0000 0.0000 0.6131 x2
Sn 0.5000 0.0000 0.9561 x2
Sn 0.5000 0.1241 0.3294 x4
Ir 0.0000 0.0000 0.2057 x2
Pd 0.5000 0.1658 0.7044 x4